Record 1
For LiMg6Sn, a structure optimized by DFT (GGA-PBE) gives the computed powder diffractogram in this record (Cu Ka).

Structural model:
Cell lengths 5.0962, 6.4217, 6.4217 Å; angles 58.27, 90.00, 90.00 degrees
Sites, in units of the cell vectors:
Li 0.0000 0.0000 0.0000
Mg 0.0000 0.0007 0.4974
Mg 0.0000 0.4974 0.0007
Mg 0.5000 0.1592 0.6683
Mg 0.5000 0.1623 0.1623
Mg 0.5000 0.6683 0.1592
Mg 0.5000 0.6677 0.6677
Sn 0.0000 0.5002 0.5002

Main lines, sorted by position (2θ from 10° to 90°):
| 2theta | I (rel.) |
| --- | --- |
| 16.23 | 831 |
| 23.88 | 734 |
| 32.98 | 317 |
| 35.22 | 389 |
| 36.57 | 553 |
| 37.36 | 1000 |

Record 2
For Li4Br2N, a structure optimized by DFT (GGA-PBE) gives the computed powder diffractogram in this record (Cu Ka).

Structural model:
Cell lengths 6.2979, 6.2979, 6.4663 Å; angles 119.63, 119.63, 33.32 degrees
Sites, in units of the cell vectors:
Li 0.0969 0.0969 0.4900
Li 0.3940 0.3940 0.1405
Li 0.6060 0.6060 0.8595
Li 0.9031 0.9031 0.5100
Br 0.1852 0.1852 0.1865
Br 0.8148 0.8148 0.8135
N 0.5000 0.5000 0.5000

Main lines, sorted by position (2θ from 10° to 90°):
| 2theta | I (rel.) |
| --- | --- |
| 17.16 | 482 |
| 27.60 | 537 |
| 28.31 | 1000 |
| 29.66 | 442 |
| 33.09 | 451 |
| 36.03 | 493 |

Record 3
For La4Nd6Sm, a structure optimized by DFT (GGA-PBE) gives the computed powder diffractogram in this record (Cu Ka).

Structural model:
Cell lengths 9.6980, 9.6980, 9.6980 Å; angles 137.86, 137.86, 61.12 degrees
Sites, in units of the cell vectors:
La 0.0080 0.6325 0.0000
La 0.3675 0.3675 0.3755
La 0.6325 0.0080 0.0000
La 0.9920 0.9920 0.6245
Nd 0.0000 0.5000 0.5000
Nd 0.2188 0.2188 0.6647
Nd 0.4459 0.7812 0.0000
Nd 0.5000 0.0000 0.5000
Nd 0.5541 0.5541 0.3353
Nd 0.7812 0.4459 0.0000
Sm 0.0000 0.0000 0.0000

Main lines, sorted by position (2θ from 10° to 90°):
| 2theta | I (rel.) |
| --- | --- |
| 27.73 | 580 |
| 28.00 | 579 |
| 29.13 | 1000 |
| 29.65 | 393 |
| 33.48 | 543 |
| 54.53 | 264 |